This entry pairs a crystal structure of MgCu6OF11 with its simulated powder diffractogram. Radiation: copper Kα. Structure: a crystal structure in the Materials Project, relaxed with PBE.
No peak broadening, texture or thermal motion is included.

Most intense lines, 2θ = 10–80°, sorted by position:
d/Å	I (rel.)
3.363	43
3.196	100
3.079	51
2.852	13
2.822	47
2.786	35
2.621	20
1.822	17
1.770	27
1.695	18
1.681	17
1.598	18

Crystal structure
Unit cell a=4.5979 b=5.4578 c=9.2398 alpha=90.49 beta=91.25 gamma=92.65
Space group P1 (No. 1)
Inequivalent atoms, fractional coordinates:
Mg: 0.0000 0.0000 0.0000
Cu: 0.3410 0.2854 0.4534
Cu: 0.3454 0.9746 0.7467
Cu: 0.3496 0.6010 0.0806
Cu: 0.6720 0.2522 0.1859
Cu: 0.8373 0.7753 0.4362
Cu: 0.8711 0.4449 0.7582
O: 0.1100 0.2070 0.8318
F: 0.0487 0.5052 0.5126
F: 0.0590 0.7819 0.1673
F: 0.1187 0.7260 0.8649
F: 0.1277 0.9960 0.5187
F: 0.1333 0.2708 0.1452
F: 0.5558 0.5439 0.3439
F: 0.5725 0.9395 0.0326
F: 0.5931 0.2264 0.6547
F: 0.6263 0.7249 0.6924
F: 0.6273 0.0587 0.3598
F: 0.6593 0.4312 0.0030



This entry pairs a crystal structure of MgCu6O2F10 with its simulated powder diffractogram. Radiation: copper Kα. Structure: a crystal structure in the Materials Project, relaxed with PBE.
No peak broadening, texture or thermal motion is included.

Most intense lines, 2θ = 10–80°, sorted by position:
d/Å	I (rel.)
3.682	100
3.230	72
2.783	40
2.740	41
2.699	43
2.694	23
2.574	22
2.500	25
1.874	19
1.841	19
1.789	25
1.620	18

Crystal structure
Unit cell a=5.5575 b=6.0163 c=8.2067 alpha=94.86 beta=109.70 gamma=112.00
Space group P1 (No. 1)
Inequivalent atoms, fractional coordinates:
Mg: 0.0000 0.0000 0.0000
Cu: 0.0122 0.4990 0.9737
Cu: 0.0379 0.8685 0.3578
Cu: 0.3656 0.7920 0.7699
Cu: 0.5546 0.5842 0.4989
Cu: 0.5934 0.2015 0.1931
Cu: 0.9875 0.1958 0.6342
O: 0.1545 0.4943 0.7986
O: 0.8530 0.8723 0.5094
F: 0.2420 0.3581 0.1180
F: 0.2646 0.9254 0.2054
F: 0.2666 0.2958 0.5164
F: 0.3122 0.0437 0.9159
F: 0.3123 0.7530 0.5090
F: 0.7216 0.3693 0.4440
F: 0.7379 0.0730 0.8053
F: 0.7859 0.6576 0.8556
F: 0.7898 0.9628 0.1574
F: 0.8510 0.4805 0.1503



This entry pairs a crystal structure of MgCu2O4F2 with its simulated powder diffractogram. Radiation: copper Kα. Structure: a crystal structure in the Materials Project, relaxed with PBE.
No peak broadening, texture or thermal motion is included.

Most intense lines, 2θ = 10–80°, sorted by position:
d/Å	I (rel.)
6.710	22
4.254	53
3.922	100
2.923	27
2.761	46
2.609	27
2.468	29
2.249	37
1.849	26
1.741	23
1.735	23
1.663	21

Crystal structure
Unit cell a=5.1526 b=3.0295 c=6.7341 alpha=90.00 beta=94.82 gamma=90.00
Space group Pm (No. 6)
Inequivalent atoms, fractional coordinates:
Mg: 0.0000 0.0000 0.0000
Cu: 0.2191 0.0000 0.6530
Cu: 0.6657 0.5000 0.3256
O: 0.0978 0.5000 0.8063
O: 0.4661 0.0000 0.1083
O: 0.5561 0.0000 0.9321
O: 0.9234 0.5000 0.1633
F: 0.3732 0.5000 0.4899
F: 0.8255 0.0000 0.4921



This entry pairs a crystal structure of MgCu6OF11 with its simulated powder diffractogram. Radiation: copper Kα. Structure: a crystal structure in the Materials Project, relaxed with PBE.
No peak broadening, texture or thermal motion is included.

Most intense lines, 2θ = 10–80°, sorted by position:
d/Å	I (rel.)
3.454	100
2.801	10
2.726	22
2.713	25
2.674	22
2.602	14
2.511	12
2.220	13
1.827	16
1.746	10
1.728	10
1.600	13

Crystal structure
Unit cell a=5.0231 b=5.6186 c=8.1551 alpha=93.52 beta=91.06 gamma=90.56
Space group P1 (No. 1)
Inequivalent atoms, fractional coordinates:
Mg: 0.0000 0.0000 0.0000
Cu: 0.4516 0.4608 0.5173
Cu: 0.4737 0.1375 0.2022
Cu: 0.5139 0.7994 0.8547
Cu: 0.9004 0.4315 0.7929
Cu: 0.9345 0.6027 0.1784
Cu: 0.9856 0.9444 0.5186
O: 0.8214 0.6615 0.9561
F: 0.1139 0.6561 0.4012
F: 0.1537 0.3013 0.1103
F: 0.1903 0.9745 0.7923
F: 0.2854 0.1415 0.4486
F: 0.2854 0.5003 0.7323
F: 0.3126 0.8471 0.1001
F: 0.6173 0.4350 0.2991
F: 0.6830 0.7471 0.5991
F: 0.6862 0.1521 0.9193
F: 0.8085 0.9612 0.2245
F: 0.8163 0.2361 0.5975



This entry pairs a crystal structure of MgCu4O2F4 with its simulated powder diffractogram. Radiation: copper Kα. Structure: a crystal structure in the Materials Project, relaxed with PBE.
No peak broadening, texture or thermal motion is included.

Most intense lines, 2θ = 10–80°, sorted by position:
d/Å	I (rel.)
5.418	64
5.291	61
4.823	89
4.380	86
2.737	23
2.710	95
2.645	100
2.412	53
2.340	23
2.199	29
2.191	68
1.606	25

Crystal structure
Unit cell a=5.4059 b=5.9268 c=6.0206 alpha=68.79 beta=68.72 gamma=67.56
Space group P1 (No. 1)
Inequivalent atoms, fractional coordinates:
Mg: 0.0000 0.0000 0.0000
Cu: 0.3063 0.4397 0.9576
Cu: 0.3415 0.4189 0.4496
Cu: 0.3414 0.9152 0.4631
Cu: 0.8363 0.4113 0.4640
O: 0.2067 0.2773 0.3059
O: 0.4668 0.5501 0.6094
F: 0.0120 0.3354 0.9056
F: 0.3324 0.7480 0.0502
F: 0.7257 0.9123 0.2828
F: 0.9764 0.9470 0.7155



This entry pairs a crystal structure of Cu3NF3 with its simulated powder diffractogram. Radiation: copper Kα. Structure: a crystal structure in the Materials Project, relaxed with PBE.
No peak broadening, texture or thermal motion is included.

Most intense lines, 2θ = 10–80°, sorted by position:
d/Å	I (rel.)
4.206	35
2.974	41
2.429	50
2.103	100
1.881	14
1.717	15
1.487	57
1.402	6
1.330	6
1.268	20
1.214	18

Crystal structure
Unit cell a=4.2065 b=4.2065 c=4.2065 alpha=90.00 beta=90.00 gamma=90.00
Space group Pm-3m (No. 221)
Inequivalent atoms, fractional coordinates:
Cu: 0.0000 0.0000 0.5000
N: 0.0000 0.0000 0.0000
F: 0.0000 0.5000 0.5000